Record 1
Calculated powder XRD pattern of Li2FeH6Pd for Cu Kα (λ = 1.5418 Å), from a DFT-relaxed cell (PBE, OQMD).
Intensities are scaled so that the largest is 100.

Structure:
```
Li2FeH6Pd
1.0
4.669 0.000 0.000
-0.023 4.699 0.000
-0.016 -0.010 6.546
Li Fe H Pd
4 2 12 2
direct
0.004 0.031 0.251 Li
0.496 0.530 0.249 Li
0.504 0.470 0.751 Li
0.996 0.969 0.749 Li
0.000 0.500 0.500 Fe
0.500 0.000 0.000 Fe
0.093 0.535 0.739 H
0.191 0.786 0.457 H
0.217 0.805 0.051 H
0.282 0.305 0.451 H
0.305 0.283 0.041 H
0.407 0.037 0.761 H
0.593 0.963 0.239 H
0.695 0.717 0.959 H
0.718 0.695 0.549 H
0.783 0.195 0.949 H
0.809 0.214 0.543 H
0.907 0.465 0.261 H
0.000 0.500 0.000 Pd
0.500 0.000 0.500 Pd
```

Largest 6 diffraction maxima, most intense first, 2θ from 10° to 90°:
| 2theta | intensity |
| --- | --- |
| 38.6 | 100 |
| 26.9 | 75 |
| 27.0 | 74 |
| 27.2 | 72 |
| 38.3 | 34 |
| 38.7 | 33 |

***

Record 2
Calculated powder XRD pattern of Sr2LiFeH6 for Cu Kα (λ = 1.5418 Å), from a DFT-relaxed cell (PBE, OQMD).
Intensities are scaled so that the largest is 100.

Structure:
```
Sr2LiFeH6
1.0
0.000 3.715 3.715
3.715 0.000 3.715
3.715 3.715 0.000
Sr Li Fe H
2 1 1 6
direct
0.250 0.250 0.250 Sr
0.750 0.750 0.750 Sr
0.000 0.000 0.000 Li
0.500 0.500 0.500 Fe
0.270 0.270 0.730 H
0.270 0.730 0.270 H
0.270 0.730 0.730 H
0.730 0.270 0.270 H
0.730 0.270 0.730 H
0.730 0.730 0.270 H
```

Largest 6 diffraction maxima, most intense first, 2θ from 10° to 90°:
| 2theta | intensity |
| --- | --- |
| 34.1 | 100 |
| 61.1 | 36 |
| 24.0 | 25 |
| 49.0 | 19 |
| 82.0 | 15 |
| 20.7 | 13 |

***

Record 3
Calculated powder XRD pattern of Fe2H3Pd2 for Cu Kα (λ = 1.5418 Å), from a DFT-relaxed cell (PBE, OQMD).
Intensities are scaled so that the largest is 100.

Structure:
```
Fe2H3Pd2
1.0
3.890 0.000 0.000
0.000 3.890 0.000
0.000 0.000 4.142
Fe H Pd
2 3 2
direct
0.000 0.500 0.000 Fe
0.500 0.000 0.000 Fe
0.000 0.000 0.000 H
0.000 0.500 0.500 H
0.500 0.000 0.500 H
0.000 0.000 0.500 Pd
0.500 0.500 0.500 Pd
```

Largest 6 diffraction maxima, most intense first, 2θ from 10° to 90°:
| 2theta | intensity |
| --- | --- |
| 39.3 | 100 |
| 46.7 | 31 |
| 81.7 | 22 |
| 65.9 | 21 |
| 43.7 | 19 |
| 77.3 | 13 |